Record 1
# LaSmCd4
Simulated XRD peak list, Cu Kα, 1.54184 Å. Input: a structure optimized by DFT (GGA-PBE).
No peak broadening, texture or thermal motion is included.

Crystal structure
```
LaSmCd4
1.0
4.992 0.000 0.000
0.000 7.445 0.000
0.000 0.000 8.456
La Sm Cd
2 2 8
direct
0.000 0.000 0.000
0.500 0.500 0.500
0.000 0.500 0.951
0.500 0.000 0.451
0.000 0.212 0.638
0.000 0.289 0.306
0.000 0.711 0.306
0.000 0.788 0.638
0.500 0.211 0.806
0.500 0.288 0.138
0.500 0.712 0.138
0.500 0.789 0.806
```

Principal peaks in the range 2θ from 10° to 90°, in order of rising 2θ:
- 2θ 30.2, I = 160, (1 1 2)
- 2θ 31.8, I = 1000, (1 2 1)
- 2θ 32.0, I = 460, (0 2 2)
- 2θ 36.0, I = 418, (2 0 0)
- 2θ 36.6, I = 734, (1 0 3)
- 2θ 37.8, I = 124, (0 3 1)
- 2θ 48.9, I = 380, (0 4 0)
- 2θ 49.6, I = 117, (0 2 4)
- 2θ 60.4, I = 116, (1 3 4)
- 2θ 62.1, I = 142, (3 2 1)
- 2θ 62.6, I = 154, (1 4 3)
- 2θ 65.1, I = 130, (3 0 3)

---

Record 2
# LaInGa4Ir
Simulated XRD peak list, Cu Kα, 1.54184 Å. Input: a structure optimized by DFT (GGA-PBE).
No peak broadening, texture or thermal motion is included.

Crystal structure
```
LaInGa4Ir
1.0
4.536 0.000 0.000
0.000 4.536 0.000
0.000 0.000 7.033
La In Ga Ir
1 1 4 1
direct
0.000 0.000 0.000
0.500 0.500 0.000
0.000 0.500 0.313
0.000 0.500 0.687
0.500 0.000 0.313
0.500 0.000 0.687
0.000 0.000 0.500
```

Principal peaks in the range 2θ from 10° to 90°, in order of rising 2θ:
- 2θ 19.6, I = 273, (1 0 0)
- 2θ 23.3, I = 236, (1 0 1)
- 2θ 25.3, I = 95, (0 0 2)
- 2θ 30.6, I = 137, (1 1 1)
- 2θ 32.2, I = 160, (1 0 2)
- 2θ 38.0, I = 1000, (1 1 2)
- 2θ 39.7, I = 567, (2 0 0)
- 2θ 52.0, I = 132, (0 0 4)
- 2θ 57.5, I = 190, (2 2 0)
- 2θ 60.0, I = 124, (1 1 4)
- 2θ 67.4, I = 104, (2 0 4)
- 2θ 71.0, I = 346, (3 1 2)

---

Record 3
# ZnPd19
Simulated XRD peak list, Cu Kα, 1.54184 Å. Input: a structure optimized by DFT (GGA-PBE).
No peak broadening, texture or thermal motion is included.

Crystal structure
```
ZnPd19
1.0
5.553 0.000 0.000
0.000 2.794 0.000
-0.001 0.000 52.089
Zn Pd
2 38
direct
0.125 0.250 0.357
0.875 0.750 0.643
0.124 0.250 0.753
0.125 0.250 0.057
0.125 0.250 0.133
0.125 0.250 0.209
0.125 0.250 0.285
0.125 0.250 0.829
0.125 0.250 0.905
0.125 0.250 0.981
0.126 0.250 0.676
0.374 0.750 0.247
0.375 0.750 0.019
0.375 0.750 0.095
0.375 0.750 0.171
0.375 0.750 0.638
0.375 0.750 0.715
0.375 0.750 0.791
0.375 0.750 0.867
0.375 0.750 0.943
0.376 0.750 0.324
0.624 0.250 0.676
0.625 0.250 0.057
0.625 0.250 0.133
0.625 0.250 0.209
0.625 0.250 0.285
0.625 0.250 0.362
0.625 0.250 0.829
0.625 0.250 0.905
0.625 0.250 0.981
0.626 0.250 0.753
0.874 0.750 0.324
0.875 0.750 0.019
0.875 0.750 0.095
0.875 0.750 0.171
0.875 0.750 0.715
0.875 0.750 0.791
0.875 0.750 0.867
0.875 0.750 0.943
0.876 0.750 0.247
```

Principal peaks in the range 2θ from 10° to 90°, in order of rising 2θ:
- 2θ 39.3, I = 1000, (0 1 13)
- 2θ 39.5, I = 987, (2 0 13)
- 2θ 40.4, I = 225, (0 1 14)
- 2θ 40.5, I = 222, (2 0 14)
- 2θ 45.3, I = 285, (0 0 26)
- 2θ 46.1, I = 791, (2 1 0)
- 2θ 47.1, I = 130, (0 0 27)
- 2θ 66.6, I = 344, (2 1 26)
- 2θ 68.0, I = 169, (2 1 27)
- 2θ 80.6, I = 237, (2 2 13)
- 2θ 81.0, I = 235, (4 1 13)
- 2θ 81.6, I = 130, (0 1 40)

---

Record 4
# LiZn2Cu5
Simulated XRD peak list, Cu Kα, 1.54184 Å. Input: a structure optimized by DFT (GGA-PBE).
No peak broadening, texture or thermal motion is included.

Crystal structure
```
LiZn2Cu5
1.0
4.103 0.000 0.000
0.000 4.103 0.000
0.000 0.000 5.809
Li Zn Cu
1 2 5
direct
0.000 0.000 0.000
0.000 0.000 0.500
0.500 0.500 0.000
0.000 0.500 0.248
0.000 0.500 0.752
0.500 0.000 0.248
0.500 0.000 0.752
0.500 0.500 0.500
```

Principal peaks in the range 2θ from 10° to 90°, in order of rising 2θ:
- 2θ 15.3, I = 37, (0 0 1)
- 2θ 21.7, I = 37, (1 0 0)
- 2θ 26.6, I = 51, (1 0 1)
- 2θ 30.8, I = 20, (1 1 0)
- 2θ 34.6, I = 25, (1 1 1)
- 2θ 38.0, I = 17, (1 0 2)
- 2θ 44.1, I = 1000, (2 0 0)
- 2θ 47.0, I = 11, (0 0 3)
- 2θ 52.3, I = 23, (2 1 1)
- 2θ 64.2, I = 151, (2 2 0)
- 2θ 70.8, I = 9, (3 0 1)
- 2θ 81.2, I = 292, (3 1 2)

---

Record 5
# TlSn2Hg
Simulated XRD peak list, Cu Kα, 1.54184 Å. Input: a structure optimized by DFT (GGA-PBE).
No peak broadening, texture or thermal motion is included.

Crystal structure
```
TlSn2Hg
1.0
7.610 0.000 0.000
0.000 7.610 0.000
0.000 0.000 7.610
Tl Sn Hg
4 8 4
direct
0.000 0.000 0.000
0.000 0.500 0.500
0.500 0.000 0.500
0.500 0.500 0.000
0.000 0.000 0.500
0.000 0.500 0.000
0.250 0.250 0.750
0.250 0.750 0.250
0.500 0.000 0.000
0.500 0.500 0.500
0.750 0.250 0.250
0.750 0.750 0.750
0.250 0.250 0.250
0.250 0.750 0.750
0.750 0.250 0.750
0.750 0.750 0.250
```

Principal peaks in the range 2θ from 10° to 90°, in order of rising 2θ:
- 2θ 20.2, I = 66, (1 1 1)
- 2θ 33.3, I = 1000, (2 2 0)
- 2θ 39.3, I = 38, (3 1 1)
- 2θ 47.8, I = 185, (4 0 0)
- 2θ 52.4, I = 17, (3 3 1)
- 2θ 59.5, I = 391, (4 2 2)
- 2θ 63.5, I = 12, (5 1 1)
- 2θ 69.9, I = 123, (4 4 0)
- 2θ 73.6, I = 12, (5 3 1)
- 2θ 79.7, I = 175, (6 2 0)
- 2θ 89.1, I = 46, (4 4 4)

---

Record 6
# Rb2TmP4
Simulated XRD peak list, Cu Kα, 1.54184 Å. Input: a structure optimized by DFT (GGA-PBE).
No peak broadening, texture or thermal motion is included.

Crystal structure
```
Rb2TmP4
1.0
9.268 0.000 0.000
0.000 13.393 0.000
-0.020 0.000 5.110
Rb Tm P
4 2 8
direct
0.250 0.250 0.000
0.250 0.750 0.000
0.750 0.250 0.000
0.750 0.750 0.000
0.000 0.000 0.500
0.500 0.500 0.500
0.000 0.198 0.500
0.000 0.802 0.500
0.112 0.000 0.001
0.388 0.500 0.999
0.500 0.302 0.500
0.500 0.698 0.500
0.612 0.500 0.001
0.888 0.000 0.999
```

Principal peaks in the range 2θ from 10° to 90°, in order of rising 2θ:
- 2θ 11.6, I = 1000, (1 1 0)
- 2θ 20.9, I = 172, (1 1 1)
- 2θ 21.9, I = 204, (0 2 1)
- 2θ 23.3, I = 315, (2 2 0)
- 2θ 25.9, I = 210, (2 0 -1)
- 2θ 26.0, I = 209, (2 0 1)
- 2θ 26.6, I = 224, (0 4 0)
- 2θ 35.1, I = 131, (0 0 2)
- 2θ 37.1, I = 115, (1 1 -2)
- 2θ 37.5, I = 244, (2 4 1)
- 2θ 44.6, I = 107, (0 4 2)
- 2θ 45.1, I = 157, (2 6 0)

---

Record 7
# ScBeCu4Ge2
Simulated XRD peak list, Cu Kα, 1.54184 Å. Input: a structure optimized by DFT (GGA-PBE).
No peak broadening, texture or thermal motion is included.

Crystal structure
```
ScBeCu4Ge2
1.0
4.125 0.000 0.000
0.000 4.125 0.000
0.000 0.000 6.449
Sc Be Cu Ge
1 1 4 2
direct
0.000 0.000 0.000
0.500 0.500 0.500
0.000 0.500 0.287
0.000 0.500 0.713
0.500 0.000 0.287
0.500 0.000 0.713
0.000 0.000 0.500
0.500 0.500 0.000
```

Principal peaks in the range 2θ from 10° to 90°, in order of rising 2θ:
- 2θ 25.6, I = 179, (1 0 1)
- 2θ 33.7, I = 97, (1 1 1)
- 2θ 41.8, I = 1000, (1 1 2)
- 2θ 42.0, I = 58, (0 0 3)
- 2θ 43.9, I = 490, (2 0 0)
- 2θ 51.5, I = 56, (2 1 1)
- 2θ 57.1, I = 62, (0 0 4)
- 2θ 62.4, I = 65, (2 0 3)
- 2θ 63.8, I = 150, (2 2 0)
- 2θ 74.7, I = 107, (2 0 4)
- 2θ 79.2, I = 273, (3 1 2)
- 2θ 81.6, I = 51, (1 1 5)

---

Record 8
# ReSbPt2
Simulated XRD peak list, Cu Kα, 1.54184 Å. Input: a structure optimized by DFT (GGA-PBE).
No peak broadening, texture or thermal motion is included.

Crystal structure
```
ReSbPt2
1.0
6.453 0.000 0.000
0.000 6.453 0.000
0.000 0.000 6.453
Re Sb Pt
4 4 8
direct
0.000 0.000 0.000
0.000 0.500 0.500
0.500 0.000 0.500
0.500 0.500 0.000
0.250 0.250 0.750
0.250 0.750 0.250
0.750 0.250 0.250
0.750 0.750 0.750
0.000 0.000 0.500
0.000 0.500 0.000
0.250 0.250 0.250
0.250 0.750 0.750
0.500 0.000 0.000
0.500 0.500 0.500
0.750 0.250 0.750
0.750 0.750 0.250
```

Principal peaks in the range 2θ from 10° to 90°, in order of rising 2θ:
- 2θ 23.9, I = 25, (1 1 1)
- 2θ 27.6, I = 10, (2 0 0)
- 2θ 39.5, I = 1000, (2 2 0)
- 2θ 46.7, I = 14, (3 1 1)
- 2θ 57.1, I = 172, (4 0 0)
- 2θ 62.8, I = 6, (3 3 1)
- 2θ 71.6, I = 352, (4 2 2)
- 2θ 85.0, I = 114, (4 4 0)
- 2θ 90.0, I = 5, (5 3 1)

---

Record 9
# Zr4Mo3
Simulated XRD peak list, Cu Kα, 1.54184 Å. Input: a structure optimized by DFT (GGA-PBE).
No peak broadening, texture or thermal motion is included.

Crystal structure
```
Zr4Mo3
1.0
7.180 0.000 0.000
0.000 4.884 0.000
-2.816 0.000 7.750
Zr Mo
8 6
direct
0.081 0.250 0.094
0.101 0.750 0.628
0.191 0.750 0.301
0.363 0.250 0.546
0.637 0.750 0.454
0.809 0.250 0.699
0.899 0.250 0.372
0.919 0.750 0.906
0.241 0.250 0.836
0.377 0.750 0.029
0.498 0.250 0.233
0.502 0.750 0.767
0.623 0.250 0.971
0.759 0.750 0.164
```

Principal peaks in the range 2θ from 10° to 90°, in order of rising 2θ:
- 2θ 36.8, I = 558, (0 2 0)
- 2θ 37.4, I = 970, (2 1 1)
- 2θ 37.6, I = 1000, (1 1 -3)
- 2θ 38.8, I = 441, (3 0 -2)
- 2θ 53.5, I = 146, (1 0 4)
- 2θ 54.6, I = 318, (3 2 -2)
- 2θ 66.7, I = 316, (2 3 1)
- 2θ 66.8, I = 175, (1 3 -3)
- 2θ 69.2, I = 121, (5 1 -1)
- 2θ 69.6, I = 137, (4 1 -5)
- 2θ 78.3, I = 83, (0 4 0)
- 2θ 80.2, I = 88, (2 2 -6)

---

Record 10
# BaCd4
Simulated XRD peak list, Cu Kα, 1.54184 Å. Input: a structure optimized by DFT (GGA-PBE).
No peak broadening, texture or thermal motion is included.

Crystal structure
```
BaCd4
1.0
4.998 0.000 0.000
0.000 4.998 0.000
0.000 0.000 11.683
Ba Cd
2 8
direct
0.000 0.000 0.000
0.500 0.500 0.500
0.000 0.000 0.380
0.000 0.000 0.620
0.000 0.500 0.250
0.000 0.500 0.750
0.500 0.000 0.250
0.500 0.000 0.750
0.500 0.500 0.120
0.500 0.500 0.880
```

Principal peaks in the range 2θ from 10° to 90°, in order of rising 2θ:
- 2θ 29.1, I = 579, (1 0 3)
- 2θ 29.5, I = 1000, (1 1 2)
- 2θ 35.9, I = 735, (2 0 0)
- 2θ 40.0, I = 330, (1 1 4)
- 2θ 42.7, I = 256, (1 0 5)
- 2θ 46.9, I = 304, (2 1 3)
- 2θ 51.7, I = 251, (2 2 0)
- 2θ 53.7, I = 132, (1 1 6)
- 2θ 57.0, I = 213, (2 1 5)
- 2θ 60.7, I = 246, (3 1 2)
- 2θ 67.4, I = 129, (3 1 4)
- 2θ 75.4, I = 156, (2 0 8)

---

Record 11
# ErHfNO
Simulated XRD peak list, Cu Kα, 1.54184 Å. Input: a structure optimized by DFT (GGA-PBE).
No peak broadening, texture or thermal motion is included.

Crystal structure
```
ErHfNO
1.0
4.622 0.000 0.000
0.000 3.831 0.000
0.000 0.000 6.593
Er Hf N O
2 2 2 2
direct
0.250 0.000 0.156
0.750 0.000 0.844
0.250 0.500 0.670
0.750 0.500 0.330
0.250 0.500 0.354
0.750 0.500 0.646
0.250 0.000 0.797
0.750 0.000 0.203
```

Principal peaks in the range 2θ from 10° to 90°, in order of rising 2θ:
- 2θ 26.9, I = 452, (0 1 1)
- 2θ 27.0, I = 189, (0 0 2)
- 2θ 33.3, I = 1000, (1 1 1)
- 2θ 33.4, I = 552, (1 0 2)
- 2θ 39.0, I = 321, (2 0 0)
- 2θ 47.5, I = 181, (0 2 0)
- 2θ 47.7, I = 342, (0 1 3)
- 2θ 48.0, I = 260, (2 1 1)
- 2θ 59.3, I = 224, (1 2 2)
- 2θ 63.0, I = 153, (2 2 0)
- 2θ 63.2, I = 291, (2 1 3)
- 2θ 67.0, I = 220, (3 0 2)

---

Record 12
# TbSmB2Ir2C2
Simulated XRD peak list, Cu Kα, 1.54184 Å. Input: a structure optimized by DFT (GGA-PBE).
No peak broadening, texture or thermal motion is included.

Crystal structure
```
TbSmB2Ir2C2
1.0
3.764 0.000 0.000
0.000 3.764 0.000
0.000 0.000 7.831
Tb Sm B Ir C
1 1 2 2 2
direct
0.000 0.000 0.000
0.500 0.500 0.327
0.000 0.000 0.505
0.500 0.500 0.819
0.000 0.500 0.663
0.500 0.000 0.663
0.000 0.000 0.311
0.500 0.500 0.012
```

Principal peaks in the range 2θ from 10° to 90°, in order of rising 2θ:
- 2θ 11.3, I = 579, (0 0 1)
- 2θ 26.3, I = 394, (1 0 1)
- 2θ 33.0, I = 299, (1 0 2)
- 2θ 34.4, I = 447, (0 0 3)
- 2θ 35.6, I = 1000, (1 1 1)
- 2θ 41.0, I = 659, (1 1 2)
- 2θ 48.4, I = 374, (2 0 0)
- 2θ 58.5, I = 274, (1 1 4)
- 2θ 60.7, I = 350, (2 0 3)
- 2θ 81.1, I = 154, (2 2 3)
- 2θ 81.9, I = 187, (3 1 1)
- 2θ 85.2, I = 165, (3 1 2)